Starting from DFT lattice parameters and positions (GGA-PBE), the powder XRD pattern of Ce3PdSe6 was simulated for Cu Ka.

Principal peaks in the range 10° ≤ 2θ ≤ 90°, by intensity:
d (Å), Rel. int.
3.677, 100
2.472, 97
2.239, 82
2.413, 74
2.685, 67
3.612, 59
5.337, 38
1.893, 35
1.908, 30
1.489, 30

Atomic structure:
```
data_Ce3PdSe6
_chemical_formula_sum 'Ce6 Pd2 Se12'
_symmetry_space_group_name_H-M 'P 1'
_symmetry_Int_Tables_number 1
_cell_length_a 8.9671
_cell_length_b 8.9671
_cell_length_c 6.7167
_cell_angle_alpha 90.00
_cell_angle_beta 90.00
_cell_angle_gamma 101.42
loop_
_symmetry_equiv_pos_as_xyz
'x,y,z'
loop_
_atom_site_label
_atom_site_type_symbol
_atom_site_fract_x
_atom_site_fract_y
_atom_site_fract_z
Ce1 Ce 0.1114 0.8886 0.5000
Ce2 Ce 0.2212 0.4296 0.5928
Ce3 Ce 0.4296 0.2212 0.0928
Ce4 Ce 0.5704 0.7788 0.5928
Ce5 Ce 0.7788 0.5704 0.0928
Ce6 Ce 0.8886 0.1114 0.0000
Pd1 Pd 0.3032 0.6968 0.1819
Pd2 Pd 0.6968 0.3032 0.6819
Se1 Se 0.0481 0.5877 0.3337
Se2 Se 0.1326 0.1918 0.2956
Se3 Se 0.1918 0.1326 0.7956
Se4 Se 0.2753 0.7247 0.7907
Se5 Se 0.4123 0.9519 0.3337
Se6 Se 0.4740 0.5260 0.3049
Se7 Se 0.5260 0.4740 0.8049
Se8 Se 0.5877 0.0481 0.8337
Se9 Se 0.7247 0.2753 0.2907
Se10 Se 0.8082 0.8674 0.2956
Se11 Se 0.8674 0.8082 0.7956
Se12 Se 0.9519 0.4123 0.8337
```

Starting from DFT lattice parameters and positions (GGA-PBE), the powder XRD pattern of UNbRh4 was simulated for Cu Ka.

Principal peaks in the range 10° ≤ 2θ ≤ 90°, by intensity:
d (Å), Rel. int.
2.189, 100
2.346, 75
2.218, 58
1.229, 31
2.172, 31
2.335, 25
1.950, 21
1.234, 20
2.315, 20
5.750, 19

Atomic structure:
```
data_UNbRh4
_chemical_formula_sum 'U4 Nb4 Rh16'
_symmetry_space_group_name_H-M 'P 1'
_symmetry_Int_Tables_number 1
_cell_length_a 7.5509
_cell_length_b 2.9709
_cell_length_c 17.7427
_cell_angle_alpha 90.00
_cell_angle_beta 90.00
_cell_angle_gamma 90.00
loop_
_symmetry_equiv_pos_as_xyz
'x,y,z'
loop_
_atom_site_label
_atom_site_type_symbol
_atom_site_fract_x
_atom_site_fract_y
_atom_site_fract_z
U1 U 0.2420 0.2500 0.1837
U2 U 0.2580 0.7500 0.6837
U3 U 0.7420 0.2500 0.3163
U4 U 0.7580 0.7500 0.8163
Nb1 Nb 0.2437 0.2500 0.9394
Nb2 Nb 0.2563 0.7500 0.4394
Nb3 Nb 0.7437 0.2500 0.5606
Nb4 Nb 0.7563 0.7500 0.0606
Rh1 Rh 0.0426 0.7500 0.5637
Rh2 Rh 0.0607 0.7500 0.3033
Rh3 Rh 0.1042 0.7500 0.8248
Rh4 Rh 0.1130 0.7500 0.0566
Rh5 Rh 0.3870 0.2500 0.5566
Rh6 Rh 0.3958 0.2500 0.3248
Rh7 Rh 0.4393 0.2500 0.8033
Rh8 Rh 0.4574 0.2500 0.0637
Rh9 Rh 0.5426 0.7500 0.9363
Rh10 Rh 0.5607 0.7500 0.1967
Rh11 Rh 0.6042 0.7500 0.6752
Rh12 Rh 0.6130 0.7500 0.4434
Rh13 Rh 0.8870 0.2500 0.9434
Rh14 Rh 0.8958 0.2500 0.1752
Rh15 Rh 0.9393 0.2500 0.6967
Rh16 Rh 0.9574 0.2500 0.4363
```

Starting from DFT lattice parameters and positions (GGA-PBE), the powder XRD pattern of Mg4HgBr8 was simulated for Cu Ka.

Principal peaks in the range 10° ≤ 2θ ≤ 90°, by intensity:
d (Å), Rel. int.
3.036, 100
2.947, 96
3.221, 54
3.346, 46
1.940, 44
3.095, 44
2.849, 38
1.955, 23
1.611, 22
1.783, 21

Atomic structure:
```
data_Mg4HgBr8
_chemical_formula_sum 'Mg4 Hg1 Br8'
_symmetry_space_group_name_H-M 'P 1'
_symmetry_Int_Tables_number 1
_cell_length_a 9.8840
_cell_length_b 9.8840
_cell_length_c 13.4629
_cell_angle_alpha 130.76
_cell_angle_beta 130.76
_cell_angle_gamma 22.81
loop_
_symmetry_equiv_pos_as_xyz
'x,y,z'
loop_
_atom_site_label
_atom_site_type_symbol
_atom_site_fract_x
_atom_site_fract_y
_atom_site_fract_z
Mg1 Mg 0.0000 0.0000 0.0000
Mg2 Mg 0.1830 0.1830 0.6939
Mg3 Mg 0.5139 0.5139 0.3524
Mg4 Mg 0.6967 0.6967 0.0480
Hg1 Hg 0.8488 0.8488 0.5240
Br1 Br 0.1405 0.1405 0.4551
Br2 Br 0.1883 0.1883 0.1771
Br3 Br 0.2079 0.2079 0.9240
Br4 Br 0.4890 0.4890 0.1237
Br5 Br 0.5086 0.5086 0.8709
Br6 Br 0.5567 0.5567 0.5918
Br7 Br 0.8075 0.8075 0.7912
Br8 Br 0.8896 0.8896 0.2562
```

Starting from DFT lattice parameters and positions (GGA-PBE), the powder XRD pattern of RbSi4O8 was simulated for Cu Ka.

Principal peaks in the range 10° ≤ 2θ ≤ 90°, by intensity:
d (Å), Rel. int.
8.111, 100
3.085, 65
2.599, 42
2.744, 41
1.642, 18
4.100, 17
2.350, 14
1.396, 13
1.785, 10
1.372, 10

Atomic structure:
```
data_RbSi4O8
_chemical_formula_sum 'Rb1 Si4 O8'
_symmetry_space_group_name_H-M 'P 1'
_symmetry_Int_Tables_number 1
_cell_length_a 5.4873
_cell_length_b 5.4873
_cell_length_c 8.1106
_cell_angle_alpha 90.00
_cell_angle_beta 90.00
_cell_angle_gamma 120.00
loop_
_symmetry_equiv_pos_as_xyz
'x,y,z'
loop_
_atom_site_label
_atom_site_type_symbol
_atom_site_fract_x
_atom_site_fract_y
_atom_site_fract_z
Rb1 Rb 0.0000 0.0000 0.0000
Si1 Si 0.3333 0.6667 0.2059
Si2 Si 0.3333 0.6667 0.7941
Si3 Si 0.6667 0.3333 0.2059
Si4 Si 0.6667 0.3333 0.7941
O1 O 0.0000 0.4870 0.7353
O2 O 0.0000 0.5130 0.2647
O3 O 0.3333 0.6667 0.0000
O4 O 0.4870 0.0000 0.7353
O5 O 0.4870 0.4870 0.2647
O6 O 0.5130 0.0000 0.2647
O7 O 0.5130 0.5130 0.7353
O8 O 0.6667 0.3333 0.0000
```

Starting from DFT lattice parameters and positions (GGA-PBE), the powder XRD pattern of KTh2ReN5 was simulated for Cu Ka.

Principal peaks in the range 10° ≤ 2θ ≤ 90°, by intensity:
d (Å), Rel. int.
2.993, 100
3.018, 58
2.430, 49
2.897, 35
4.942, 32
2.065, 28
1.677, 23
2.471, 23
5.794, 22
1.690, 20

Atomic structure:
```
data_KTh2ReN5
_chemical_formula_sum 'K2 Th4 Re2 N10'
_symmetry_space_group_name_H-M 'P 1'
_symmetry_Int_Tables_number 1
_cell_length_a 7.6157
_cell_length_b 7.6157
_cell_length_c 7.6157
_cell_angle_alpha 125.37
_cell_angle_beta 125.37
_cell_angle_gamma 80.93
loop_
_symmetry_equiv_pos_as_xyz
'x,y,z'
loop_
_atom_site_label
_atom_site_type_symbol
_atom_site_fract_x
_atom_site_fract_y
_atom_site_fract_z
K1 K 0.2500 0.2500 0.0000
K2 K 0.7500 0.7500 0.0000
Th1 Th 0.1845 0.6845 0.8690
Th2 Th 0.3155 0.1845 0.5000
Th3 Th 0.6845 0.8155 0.5000
Th4 Th 0.8155 0.3155 0.1310
Re1 Re 0.2500 0.7500 0.5000
Re2 Re 0.7500 0.2500 0.5000
N1 N 0.0000 0.0000 0.0000
N2 N 0.0030 0.7798 0.5000
N3 N 0.2202 0.7202 0.2231
N4 N 0.2798 0.5030 0.5000
N5 N 0.4970 0.9970 0.7769
N6 N 0.5000 0.5000 0.0000
N7 N 0.5030 0.0030 0.2231
N8 N 0.7202 0.4970 0.5000
N9 N 0.7798 0.2798 0.7769
N10 N 0.9970 0.2202 0.5000
```

Starting from DFT lattice parameters and positions (GGA-PBE), the powder XRD pattern of V3MoAs was simulated for Cu Ka.

Principal peaks in the range 10° ≤ 2θ ≤ 90°, by intensity:
d (Å), Rel. int.
2.089, 100
2.172, 76
2.137, 46
2.150, 46
2.269, 44
2.104, 39
2.325, 35
2.198, 33
2.075, 31
3.292, 30

Atomic structure:
```
data_V3MoAs
_chemical_formula_sum 'V12 Mo4 As4'
_symmetry_space_group_name_H-M 'P 1'
_symmetry_Int_Tables_number 1
_cell_length_a 5.0106
_cell_length_b 5.0106
_cell_length_c 13.1708
_cell_angle_alpha 99.91
_cell_angle_beta 99.91
_cell_angle_gamma 64.45
loop_
_symmetry_equiv_pos_as_xyz
'x,y,z'
loop_
_atom_site_label
_atom_site_type_symbol
_atom_site_fract_x
_atom_site_fract_y
_atom_site_fract_z
V1 V 0.0336 0.3325 0.7882
V2 V 0.0577 0.9032 0.9116
V3 V 0.0968 0.9423 0.5884
V4 V 0.1264 0.4310 0.5939
V5 V 0.3325 0.0336 0.2882
V6 V 0.4310 0.1264 0.0939
V7 V 0.5690 0.8736 0.9061
V8 V 0.6675 0.9664 0.7118
V9 V 0.8736 0.5690 0.4061
V10 V 0.9032 0.0577 0.4116
V11 V 0.9423 0.0968 0.0884
V12 V 0.9664 0.6675 0.2118
Mo1 Mo 0.3606 0.5459 0.4050
Mo2 Mo 0.4541 0.6394 0.0950
Mo3 Mo 0.5459 0.3606 0.9050
Mo4 Mo 0.6394 0.4541 0.5950
As1 As 0.0000 0.5000 0.0000
As2 As 0.2969 0.7031 0.7500
As3 As 0.5000 0.0000 0.5000
As4 As 0.7031 0.2969 0.2500
```

Starting from DFT lattice parameters and positions (GGA-PBE), the powder XRD pattern of LiPa5Bi5 was simulated for Cu Ka.

Principal peaks in the range 10° ≤ 2θ ≤ 90°, by intensity:
d (Å), Rel. int.
3.017, 100
2.689, 85
2.913, 73
2.096, 70
2.840, 57
3.041, 38
8.568, 28
2.141, 25
2.257, 21
1.671, 21

Atomic structure:
```
data_LiPa5Bi5
_chemical_formula_sum 'Li1 Pa5 Bi5'
_symmetry_space_group_name_H-M 'P 1'
_symmetry_Int_Tables_number 1
_cell_length_a 6.9470
_cell_length_b 6.9470
_cell_length_c 9.0446
_cell_angle_alpha 106.76
_cell_angle_beta 106.76
_cell_angle_gamma 51.47
loop_
_symmetry_equiv_pos_as_xyz
'x,y,z'
loop_
_atom_site_label
_atom_site_type_symbol
_atom_site_fract_x
_atom_site_fract_y
_atom_site_fract_z
Li1 Li 0.0000 0.0000 0.0000
Pa1 Pa 0.0000 0.0000 0.5000
Pa2 Pa 0.3495 0.3495 0.6391
Pa3 Pa 0.4237 0.4237 0.3101
Pa4 Pa 0.5763 0.5763 0.6899
Pa5 Pa 0.6505 0.6505 0.3609
Bi1 Bi 0.1671 0.1671 0.2955
Bi2 Bi 0.1829 0.1829 0.8490
Bi3 Bi 0.5000 0.5000 0.0000
Bi4 Bi 0.8171 0.8171 0.1510
Bi5 Bi 0.8329 0.8329 0.7045
```

Starting from DFT lattice parameters and positions (GGA-PBE), the powder XRD pattern of DyPaVN3 was simulated for Cu Ka.

Principal peaks in the range 10° ≤ 2θ ≤ 90°, by intensity:
d (Å), Rel. int.
2.422, 100
3.014, 81
2.463, 77
7.415, 64
3.105, 53
1.786, 50
2.472, 47
2.698, 44
3.338, 41
3.708, 29

Atomic structure:
```
data_DyPaVN3
_chemical_formula_sum 'Dy2 Pa2 V2 N6'
_symmetry_space_group_name_H-M 'P 1'
_symmetry_Int_Tables_number 1
_cell_length_a 7.1657
_cell_length_b 3.2993
_cell_length_c 7.4471
_cell_angle_alpha 90.00
_cell_angle_beta 95.30
_cell_angle_gamma 90.00
loop_
_symmetry_equiv_pos_as_xyz
'x,y,z'
loop_
_atom_site_label
_atom_site_type_symbol
_atom_site_fract_x
_atom_site_fract_y
_atom_site_fract_z
Dy1 Dy 0.1463 0.2500 0.1719
Dy2 Dy 0.8537 0.7500 0.8281
Pa1 Pa 0.3608 0.7500 0.8205
Pa2 Pa 0.6392 0.2500 0.1795
V1 V 0.1091 0.2500 0.5787
V2 V 0.8909 0.7500 0.4213
N1 N 0.1146 0.2500 0.8509
N2 N 0.1804 0.7500 0.4627
N3 N 0.4020 0.7500 0.1213
N4 N 0.5980 0.2500 0.8787
N5 N 0.8196 0.2500 0.5373
N6 N 0.8854 0.7500 0.1491
```